[1]
Starting from a crystal structure in Alexandria, relaxed with GGA-PBE, the powder X-ray diffraction pattern of Cd4In5Pb4 was simulated for Cu Ka.
Kinematic intensities with the Lorentz-polarization factor, no thermal factor.

Structural model:
```
data_Cd4In5Pb4
_cell_length_a 9.1611
_cell_length_b 9.1611
_cell_length_c 9.1611
_cell_angle_alpha 93.50
_cell_angle_beta 93.50
_cell_angle_gamma 151.39
_space_group_name_H-M_alt 'P 1'
_space_group_IT_number 1
loop_
_space_group_symop_operation_xyz
'x,y,z'
loop_
_atom_site_label
_atom_site_type_symbol
_atom_site_fract_x
_atom_site_fract_y
_atom_site_fract_z
Cd1 Cd 0.0686 0.6074 0.6760
Cd2 Cd 0.3926 0.0686 0.4612
Cd3 Cd 0.6074 0.9314 0.5388
Cd4 Cd 0.9314 0.3926 0.3240
In1 In 0.0000 0.0000 0.0000
In2 In 0.3070 0.4571 0.7642
In3 In 0.4571 0.6930 0.1501
In4 In 0.5429 0.3070 0.8499
In5 In 0.6930 0.5429 0.2358
Pb1 Pb 0.1468 0.2396 0.3864
Pb2 Pb 0.2396 0.8532 0.0929
Pb3 Pb 0.7604 0.1468 0.9071
Pb4 Pb 0.8532 0.7604 0.6136
```

Main lines, by angle (2θ from 10° to 80°):
- 2θ 22.39, I 3.9
- 2θ 25.27, I 6.4
- 2θ 32.44, I 100.0
- 2θ 36.49, I 36.9
- 2θ 39.83, I 14.6
- 2θ 52.57, I 11.9
- 2θ 55.12, I 23.0
- 2θ 63.14, I 26.3
- 2θ 67.67, I 11.8
- 2θ 67.93, I 11.0


[2]
Starting from a crystal structure in Alexandria, relaxed with GGA-PBE, the powder X-ray diffraction pattern of Cd6In2Pb was simulated for Cu Ka.
Kinematic intensities with the Lorentz-polarization factor, no thermal factor.

Structural model:
```
data_Cd6In2Pb
_cell_length_a 8.6920
_cell_length_b 8.6920
_cell_length_c 3.7254
_cell_angle_alpha 100.52
_cell_angle_beta 100.52
_cell_angle_gamma 58.06
_space_group_name_H-M_alt 'P 1'
_space_group_IT_number 1
loop_
_space_group_symop_operation_xyz
'x,y,z'
loop_
_atom_site_label
_atom_site_type_symbol
_atom_site_fract_x
_atom_site_fract_y
_atom_site_fract_z
Cd1 Cd 0.1457 0.4973 0.8189
Cd2 Cd 0.1778 0.8222 0.0000
Cd3 Cd 0.4973 0.1457 0.8189
Cd4 Cd 0.5027 0.8543 0.1811
Cd5 Cd 0.8222 0.1778 0.0000
Cd6 Cd 0.8543 0.5027 0.1811
In1 In 0.1410 0.1410 0.6256
In2 In 0.8590 0.8590 0.3744
Pb1 Pb 0.5000 0.5000 0.5000
```

Main lines, by angle (2θ from 10° to 80°):
- 2θ 28.45, I 35.9
- 2θ 29.21, I 39.6
- 2θ 32.47, I 48.0
- 2θ 32.81, I 42.0
- 2θ 35.13, I 31.8
- 2θ 36.26, I 43.1
- 2θ 36.38, I 27.8
- 2θ 36.75, I 100.0
- 2θ 48.94, I 24.2
- 2θ 63.35, I 22.4


[3]
Starting from a crystal structure in Alexandria, relaxed with GGA-PBE, the powder X-ray diffraction pattern of Cd10InPb was simulated for Cu Ka.
Kinematic intensities with the Lorentz-polarization factor, no thermal factor.

Structural model:
```
data_Cd10InPb
_cell_length_a 4.9302
_cell_length_b 6.0455
_cell_length_c 10.2534
_cell_angle_alpha 90.00
_cell_angle_beta 90.00
_cell_angle_gamma 90.00
_space_group_name_H-M_alt 'P 1'
_space_group_IT_number 1
loop_
_space_group_symop_operation_xyz
'x,y,z'
loop_
_atom_site_label
_atom_site_type_symbol
_atom_site_fract_x
_atom_site_fract_y
_atom_site_fract_z
Cd1 Cd 0.0000 0.0000 0.0000
Cd2 Cd 0.0000 0.2483 0.2507
Cd3 Cd 0.0000 0.2483 0.7493
Cd4 Cd 0.0000 0.5000 0.5000
Cd5 Cd 0.0000 0.7517 0.2507
Cd6 Cd 0.0000 0.7517 0.7493
Cd7 Cd 0.5000 0.0000 0.1643
Cd8 Cd 0.5000 0.0000 0.8357
Cd9 Cd 0.5000 0.5000 0.3317
Cd10 Cd 0.5000 0.5000 0.6683
In1 In 0.5000 0.5000 0.0000
Pb1 Pb 0.5000 0.0000 0.5000
```

Main lines, by angle (2θ from 10° to 80°):
- 2θ 24.87, I 24.5
- 2θ 30.03, I 22.7
- 2θ 34.44, I 31.9
- 2θ 34.81, I 51.7
- 2θ 35.23, I 100.0
- 2θ 36.45, I 48.2
- 2θ 39.12, I 25.7
- 2θ 51.02, I 20.5
- 2θ 56.18, I 25.2
- 2θ 74.50, I 22.6


[4]
Starting from a crystal structure in Alexandria, relaxed with GGA-PBE, the powder X-ray diffraction pattern of Cd2In4Pb was simulated for Cu Ka.
Kinematic intensities with the Lorentz-polarization factor, no thermal factor.

Structural model:
```
data_Cd2In4Pb
_cell_length_a 6.1901
_cell_length_b 6.1901
_cell_length_c 5.9868
_cell_angle_alpha 114.23
_cell_angle_beta 114.23
_cell_angle_gamma 74.88
_space_group_name_H-M_alt 'P 1'
_space_group_IT_number 1
loop_
_space_group_symop_operation_xyz
'x,y,z'
loop_
_atom_site_label
_atom_site_type_symbol
_atom_site_fract_x
_atom_site_fract_y
_atom_site_fract_z
Cd1 Cd 0.0005 0.0005 0.2568
Cd2 Cd 0.9995 0.9995 0.7432
In1 In 0.0995 0.5057 0.7982
In2 In 0.4943 0.9005 0.2018
In3 In 0.5057 0.0995 0.7982
In4 In 0.9005 0.4943 0.2018
Pb1 Pb 0.5000 0.5000 0.5000
```

Main lines, by angle (2θ from 10° to 80°):
- 2θ 27.32, I 24.8
- 2θ 29.45, I 24.3
- 2θ 30.02, I 20.8
- 2θ 30.61, I 24.6
- 2θ 31.91, I 100.0
- 2θ 33.05, I 36.7
- 2θ 33.84, I 28.0
- 2θ 35.13, I 33.1
- 2θ 36.86, I 22.9
- 2θ 38.95, I 40.3


[5]
Starting from a crystal structure in Alexandria, relaxed with GGA-PBE, the powder X-ray diffraction pattern of Cd2InPb6 was simulated for Cu Ka.
Kinematic intensities with the Lorentz-polarization factor, no thermal factor.

Structural model:
```
data_Cd2InPb6
_cell_length_a 3.5752
_cell_length_b 3.5752
_cell_length_c 24.3172
_cell_angle_alpha 90.00
_cell_angle_beta 90.00
_cell_angle_gamma 120.00
_space_group_name_H-M_alt 'P 1'
_space_group_IT_number 1
loop_
_space_group_symop_operation_xyz
'x,y,z'
loop_
_atom_site_label
_atom_site_type_symbol
_atom_site_fract_x
_atom_site_fract_y
_atom_site_fract_z
Cd1 Cd 0.0000 0.0000 0.1686
Cd2 Cd 0.0000 0.0000 0.8314
In1 In 0.6667 0.3333 0.5000
Pb1 Pb 0.0000 0.0000 0.3876
Pb2 Pb 0.0000 0.0000 0.6124
Pb3 Pb 0.6667 0.3333 0.0673
Pb4 Pb 0.6667 0.3333 0.2710
Pb5 Pb 0.6667 0.3333 0.7290
Pb6 Pb 0.6667 0.3333 0.9327
```

Main lines, by angle (2θ from 10° to 80°):
- 2θ 28.84, I 60.7
- 2θ 29.07, I 20.7
- 2θ 32.45, I 82.5
- 2θ 33.16, I 43.8
- 2θ 34.33, I 100.0
- 2θ 36.52, I 26.9
- 2θ 44.50, I 30.8
- 2θ 51.10, I 46.0
- 2θ 61.18, I 20.6
- 2θ 62.28, I 43.5


[6]
Starting from a crystal structure in Alexandria, relaxed with GGA-PBE, the powder X-ray diffraction pattern of CdIn3Pb was simulated for Cu Ka.
Kinematic intensities with the Lorentz-polarization factor, no thermal factor.

Structural model:
```
data_CdIn3Pb
_cell_length_a 3.3449
_cell_length_b 3.3449
_cell_length_c 28.4401
_cell_angle_alpha 90.00
_cell_angle_beta 90.00
_cell_angle_gamma 120.00
_space_group_name_H-M_alt 'P 1'
_space_group_IT_number 1
loop_
_space_group_symop_operation_xyz
'x,y,z'
loop_
_atom_site_label
_atom_site_type_symbol
_atom_site_fract_x
_atom_site_fract_y
_atom_site_fract_z
Cd1 Cd 0.0000 0.0000 0.0000
Cd2 Cd 0.0000 0.0000 0.5000
In1 In 0.0000 0.0000 0.3046
In2 In 0.0000 0.0000 0.8046
In3 In 0.3333 0.6667 0.0942
In4 In 0.3333 0.6667 0.4045
In5 In 0.6667 0.3333 0.5942
In6 In 0.6667 0.3333 0.9045
Pb1 Pb 0.3333 0.6667 0.6990
Pb2 Pb 0.6667 0.3333 0.1990
```

Main lines, by angle (2θ from 10° to 80°):
- 2θ 31.47, I 89.9
- 2θ 32.31, I 100.0
- 2θ 33.40, I 67.8
- 2θ 34.75, I 24.2
- 2θ 36.35, I 64.5
- 2θ 38.16, I 56.7
- 2θ 52.41, I 25.6
- 2θ 54.90, I 44.0
- 2θ 61.19, I 19.0
- 2θ 64.66, I 53.3


[7]
Starting from a crystal structure in Alexandria, relaxed with GGA-PBE, the powder X-ray diffraction pattern of CdIn4Pb15 was simulated for Cu Ka.
Kinematic intensities with the Lorentz-polarization factor, no thermal factor.

Structural model:
```
data_CdIn4Pb15
_cell_length_a 4.9141
_cell_length_b 4.9141
_cell_length_c 25.1824
_cell_angle_alpha 90.00
_cell_angle_beta 90.00
_cell_angle_gamma 90.00
_space_group_name_H-M_alt 'P 1'
_space_group_IT_number 1
loop_
_space_group_symop_operation_xyz
'x,y,z'
loop_
_atom_site_label
_atom_site_type_symbol
_atom_site_fract_x
_atom_site_fract_y
_atom_site_fract_z
Cd1 Cd 0.0000 0.0000 0.0000
In1 In 0.0000 0.0000 0.1980
In2 In 0.0000 0.0000 0.3992
In3 In 0.0000 0.0000 0.6008
In4 In 0.0000 0.0000 0.8020
Pb1 Pb 0.0000 0.5000 0.0977
Pb2 Pb 0.0000 0.5000 0.2982
Pb3 Pb 0.0000 0.5000 0.5000
Pb4 Pb 0.0000 0.5000 0.7018
Pb5 Pb 0.0000 0.5000 0.9023
Pb6 Pb 0.5000 0.0000 0.0977
Pb7 Pb 0.5000 0.0000 0.2982
Pb8 Pb 0.5000 0.0000 0.5000
Pb9 Pb 0.5000 0.0000 0.7018
Pb10 Pb 0.5000 0.0000 0.9023
Pb11 Pb 0.5000 0.5000 0.0000
Pb12 Pb 0.5000 0.5000 0.1983
Pb13 Pb 0.5000 0.5000 0.3990
Pb14 Pb 0.5000 0.5000 0.6010
Pb15 Pb 0.5000 0.5000 0.8017
```

Main lines, by angle (2θ from 10° to 80°):
- 2θ 18.05, I 2.5
- 2θ 31.27, I 100.0
- 2θ 35.65, I 17.6
- 2θ 36.57, I 33.3
- 2θ 52.00, I 24.4
- 2θ 52.68, I 11.8
- 2θ 61.33, I 14.7
- 2θ 62.55, I 28.4
- 2θ 65.24, I 12.4
- 2θ 77.73, I 3.9


[8]
Starting from a crystal structure in Alexandria, relaxed with GGA-PBE, the powder X-ray diffraction pattern of CdIn3Pb4 was simulated for Cu Ka.
Kinematic intensities with the Lorentz-polarization factor, no thermal factor.

Structural model:
```
data_CdIn3Pb4
_cell_length_a 6.8941
_cell_length_b 9.7923
_cell_length_c 6.9012
_cell_angle_alpha 90.00
_cell_angle_beta 90.00
_cell_angle_gamma 90.00
_space_group_name_H-M_alt 'P 1'
_space_group_IT_number 1
loop_
_space_group_symop_operation_xyz
'x,y,z'
loop_
_atom_site_label
_atom_site_type_symbol
_atom_site_fract_x
_atom_site_fract_y
_atom_site_fract_z
Cd1 Cd 0.0000 0.0007 0.0000
Cd2 Cd 0.5000 0.9993 0.5000
In1 In 0.0000 0.4994 0.0000
In2 In 0.2494 0.7541 0.2500
In3 In 0.2506 0.2459 0.7500
In4 In 0.5000 0.5006 0.5000
In5 In 0.7494 0.2459 0.7500
In6 In 0.7506 0.7541 0.2500
Pb1 Pb 0.0000 0.0003 0.5002
Pb2 Pb 0.0000 0.4996 0.5003
Pb3 Pb 0.2503 0.2499 0.2502
Pb4 Pb 0.2497 0.7501 0.7502
Pb5 Pb 0.5000 0.9997 0.0002
Pb6 Pb 0.5000 0.5004 0.0003
Pb7 Pb 0.7497 0.2499 0.2502
Pb8 Pb 0.7503 0.7501 0.7502
```

Main lines, by angle (2θ from 10° to 80°):
- 2θ 15.71, I 4.5
- 2θ 31.74, I 100.0
- 2θ 36.71, I 17.0
- 2θ 36.86, I 33.6
- 2θ 53.02, I 29.6
- 2θ 53.14, I 5.9
- 2θ 63.01, I 14.0
- 2θ 63.21, I 27.9
- 2θ 66.30, I 12.1
- 2θ 78.43, I 3.8


[9]
Starting from a crystal structure in Alexandria, relaxed with GGA-PBE, the powder X-ray diffraction pattern of Cd6In8Pb was simulated for Cu Ka.
Kinematic intensities with the Lorentz-polarization factor, no thermal factor.

Structural model:
```
data_Cd6In8Pb
_cell_length_a 8.3375
_cell_length_b 8.3375
_cell_length_c 8.3375
_cell_angle_alpha 59.45
_cell_angle_beta 59.45
_cell_angle_gamma 59.45
_space_group_name_H-M_alt 'P 1'
_space_group_IT_number 1
loop_
_space_group_symop_operation_xyz
'x,y,z'
loop_
_atom_site_label
_atom_site_type_symbol
_atom_site_fract_x
_atom_site_fract_y
_atom_site_fract_z
Cd1 Cd 0.1468 0.5911 0.4262
Cd2 Cd 0.4089 0.5738 0.8532
Cd3 Cd 0.4262 0.1468 0.5911
Cd4 Cd 0.5738 0.8532 0.4089
Cd5 Cd 0.5911 0.4262 0.1468
Cd6 Cd 0.8532 0.4089 0.5738
In1 In 0.1264 0.8452 0.6343
In2 In 0.1548 0.3657 0.8736
In3 In 0.2601 0.2601 0.2601
In4 In 0.3657 0.8736 0.1548
In5 In 0.6343 0.1264 0.8452
In6 In 0.7399 0.7399 0.7399
In7 In 0.8452 0.6343 0.1264
In8 In 0.8736 0.1548 0.3657
Pb1 Pb 0.0000 0.0000 0.0000
```

Main lines, by angle (2θ from 10° to 80°):
- 2θ 25.21, I 54.2
- 2θ 30.45, I 48.1
- 2θ 34.03, I 63.6
- 2θ 34.27, I 100.0
- 2θ 37.26, I 38.5
- 2θ 37.58, I 85.7
- 2θ 45.89, I 19.1
- 2θ 59.11, I 31.5
- 2θ 60.77, I 17.9
- 2θ 63.37, I 17.7


[10]
Starting from a crystal structure in Alexandria, relaxed with GGA-PBE, the powder X-ray diffraction pattern of Cd4InPb3 was simulated for Cu Ka.
Kinematic intensities with the Lorentz-polarization factor, no thermal factor.

Structural model:
```
data_Cd4InPb3
_cell_length_a 7.7767
_cell_length_b 7.7767
_cell_length_c 5.6464
_cell_angle_alpha 105.80
_cell_angle_beta 105.80
_cell_angle_gamma 42.14
_space_group_name_H-M_alt 'P 1'
_space_group_IT_number 1
loop_
_space_group_symop_operation_xyz
'x,y,z'
loop_
_atom_site_label
_atom_site_type_symbol
_atom_site_fract_x
_atom_site_fract_y
_atom_site_fract_z
Cd1 Cd 0.1273 0.1273 0.1448
Cd2 Cd 0.2481 0.2481 0.7916
Cd3 Cd 0.7519 0.7519 0.2084
Cd4 Cd 0.8727 0.8727 0.8552
In1 In 0.0000 0.0000 0.5000
Pb1 Pb 0.3663 0.3663 0.3984
Pb2 Pb 0.5000 0.5000 0.0000
Pb3 Pb 0.6337 0.6337 0.6016
```

Main lines, by angle (2θ from 10° to 80°):
- 2θ 31.86, I 49.5
- 2θ 32.01, I 55.3
- 2θ 33.07, I 100.0
- 2θ 35.58, I 77.0
- 2θ 45.79, I 36.2
- 2θ 52.75, I 12.5
- 2θ 55.86, I 18.6
- 2θ 57.73, I 20.1
- 2θ 59.39, I 17.3
- 2θ 63.05, I 14.6


[11]
Starting from a crystal structure in Alexandria, relaxed with GGA-PBE, the powder X-ray diffraction pattern of Cd3In3Pb was simulated for Cu Ka.
Kinematic intensities with the Lorentz-polarization factor, no thermal factor.

Structural model:
```
data_Cd3In3Pb
_cell_length_a 8.3594
_cell_length_b 8.3594
_cell_length_c 8.3594
_cell_angle_alpha 56.36
_cell_angle_beta 56.36
_cell_angle_gamma 56.36
_space_group_name_H-M_alt 'P 1'
_space_group_IT_number 1
loop_
_space_group_symop_operation_xyz
'x,y,z'
loop_
_atom_site_label
_atom_site_type_symbol
_atom_site_fract_x
_atom_site_fract_y
_atom_site_fract_z
Cd1 Cd 0.0847 0.8206 0.2756
Cd2 Cd 0.1794 0.7244 0.9153
Cd3 Cd 0.2756 0.0847 0.8206
Cd4 Cd 0.7244 0.9153 0.1794
Cd5 Cd 0.8206 0.2756 0.0847
Cd6 Cd 0.9153 0.1794 0.7244
In1 In 0.0753 0.5652 0.7270
In2 In 0.2730 0.9247 0.4348
In3 In 0.4348 0.2730 0.9247
In4 In 0.5652 0.7270 0.0753
In5 In 0.7270 0.0753 0.5652
In6 In 0.9247 0.4348 0.2730
Pb1 Pb 0.3413 0.3413 0.3413
Pb2 Pb 0.6587 0.6587 0.6587
```

Main lines, by angle (2θ from 10° to 80°):
- 2θ 25.91, I 65.1
- 2θ 31.21, I 26.8
- 2θ 32.57, I 45.8
- 2θ 33.79, I 18.7
- 2θ 34.22, I 93.7
- 2θ 34.98, I 100.0
- 2θ 35.78, I 41.2
- 2θ 45.11, I 19.3
- 2θ 57.51, I 38.5
- 2θ 62.22, I 21.4


[12]
Starting from a crystal structure in Alexandria, relaxed with GGA-PBE, the powder X-ray diffraction pattern of Cd4In3Pb2 was simulated for Cu Ka.
Kinematic intensities with the Lorentz-polarization factor, no thermal factor.

Structural model:
```
data_Cd4In3Pb2
_cell_length_a 9.4848
_cell_length_b 9.4848
_cell_length_c 8.5638
_cell_angle_alpha 90.00
_cell_angle_beta 90.00
_cell_angle_gamma 140.53
_space_group_name_H-M_alt 'P 1'
_space_group_IT_number 1
loop_
_space_group_symop_operation_xyz
'x,y,z'
loop_
_atom_site_label
_atom_site_type_symbol
_atom_site_fract_x
_atom_site_fract_y
_atom_site_fract_z
Cd1 Cd 0.1688 0.3312 0.7500
Cd2 Cd 0.1697 0.8303 0.9964
Cd3 Cd 0.3303 0.6697 0.4964
Cd4 Cd 0.3312 0.1688 0.2500
Cd5 Cd 0.6688 0.8312 0.7500
Cd6 Cd 0.6697 0.3303 0.5036
Cd7 Cd 0.8303 0.1697 0.0036
Cd8 Cd 0.8312 0.6688 0.2500
In1 In 0.0000 0.0000 0.0000
In2 In 0.0032 0.4968 0.2500
In3 In 0.4968 0.0032 0.7500
In4 In 0.5000 0.5000 0.5000
In5 In 0.5032 0.9968 0.2500
In6 In 0.9968 0.5032 0.7500
Pb1 Pb 0.0776 0.9224 0.6217
Pb2 Pb 0.4224 0.5776 0.1217
Pb3 Pb 0.5776 0.4224 0.8783
Pb4 Pb 0.9224 0.0776 0.3783
```

Main lines, by angle (2θ from 10° to 80°):
- 2θ 29.23, I 76.8
- 2θ 30.50, I 94.9
- 2θ 31.46, I 70.0
- 2θ 32.94, I 35.3
- 2θ 34.77, I 64.8
- 2θ 34.98, I 100.0
- 2θ 36.07, I 62.7
- 2θ 36.78, I 79.2
- 2θ 39.45, I 50.3
- 2θ 60.62, I 84.9